1.
Diffraction record for ZnGaHg. The XRD peak list is theoretical, not measured: it uses a DFT-relaxed cell (PBE, Alexandria) and Cu Kα (weighted mean of Kα1 and Kα2).

Crystal structure
```
data_ZnGaHg
_symmetry_space_group_name_H-M 'P 21 21 21'
_symmetry_Int_Tables_number 19
_cell_length_a 3.362
_cell_length_b 8.094
_cell_length_c 8.965
_cell_angle_alpha 90.00
_cell_angle_beta 90.00
_cell_angle_gamma 90.00
loop_
_symmetry_equiv_pos_as_xyz
'x,y,z'
'-x+1/2,-y,z+1/2'
'x+1/2,-y+1/2,-z'
'-x,y+1/2,-z+1/2'
loop_
_atom_site_label
_atom_site_fract_x
_atom_site_fract_y
_atom_site_fract_z
Zn1 0.249 0.173 0.402
Ga1 0.249 0.510 0.405
Hg1 0.250 0.161 0.833
```

Main lines, low angle first (10 to 90 degrees two-theta):
2theta	d [Å]	intensity	index
24.13	3.689	32	0 2 1
30.47	2.934	34	1 1 1
31.92	2.803	28	0 1 3
33.31	2.689	100	1 0 2
38.96	2.312	64	0 3 2
40.24	2.241	16	0 0 4
42.98	2.104	61	1 3 0
46.44	1.955	22	1 2 3
60.34	1.534	16	1 3 4
69.09	1.359	23	2 3 2

2.
Diffraction record for Zn9Ga3Hg. The XRD peak list is theoretical, not measured: it uses a DFT-relaxed cell (PBE, Alexandria) and Cu Kα (weighted mean of Kα1 and Kα2).

Crystal structure
```
data_Zn9Ga3Hg
_symmetry_space_group_name_H-M 'P -1'
_symmetry_Int_Tables_number 2
_cell_length_a 5.723
_cell_length_b 6.481
_cell_length_c 6.504
_cell_angle_alpha 86.15
_cell_angle_beta 88.96
_cell_angle_gamma 88.96
loop_
_symmetry_equiv_pos_as_xyz
'x,y,z'
'-x,-y,-z'
loop_
_atom_site_label
_atom_site_fract_x
_atom_site_fract_y
_atom_site_fract_z
Zn1 0.000 0.000 0.000
Zn2 0.000 0.500 0.500
Zn3 0.052 0.150 0.348
Zn4 0.237 0.749 0.251
Zn5 0.247 0.259 0.759
Zn6 0.500 0.500 0.000
Ga1 0.000 0.500 0.000
Ga2 0.500 0.000 0.000
Ga3 0.500 0.500 0.500
Hg1 0.500 0.000 0.500
```

Main lines, low angle first (10 to 90 degrees two-theta):
2theta	d [Å]	intensity	index
13.67	6.477	31	0 1 0
20.02	4.434	36	0 1 -1
25.41	3.505	24	1 1 -1
27.54	3.238	36	0 2 0
31.27	2.861	30	2 0 0
35.36	2.538	22	1 2 -1
37.96	2.370	94	0 2 2
40.70	2.217	45	0 2 -2
41.77	2.163	100	2 0 2
42.53	2.126	95	2 -2 0

3.
Diffraction record for Zn2GaHg. The XRD peak list is theoretical, not measured: it uses a DFT-relaxed cell (PBE, Alexandria) and Cu Kα (weighted mean of Kα1 and Kα2).

Crystal structure
```
data_Zn2GaHg
_symmetry_space_group_name_H-M 'I -4 2 d'
_symmetry_Int_Tables_number 122
_symmetry_space_group_name_Hall 'I -4 2bw'
_cell_length_a 7.530
_cell_length_b 7.530
_cell_length_c 5.719
_cell_angle_alpha 90.00
_cell_angle_beta 90.00
_cell_angle_gamma 90.00
loop_
_atom_site_label
_atom_site_fract_x
_atom_site_fract_y
_atom_site_fract_z
Zn1 0.234 0.750 0.125
Ga1 0.000 0.000 0.000
Hg1 0.000 0.000 0.500
```

Main lines, low angle first (10 to 90 degrees two-theta):
2theta	d [Å]	intensity	index
19.49	4.554	29	1 0 1
23.63	3.765	24	2 0 0
30.81	2.902	28	2 1 1
33.66	2.662	100	2 2 0
35.64	2.519	95	1 1 2
48.35	1.883	36	4 0 0
49.83	1.830	73	3 1 2
61.49	1.508	19	3 3 2
70.45	1.337	23	2 0 4
71.96	1.312	24	5 1 2

4.
Diffraction record for ZrZnGaHg. The XRD peak list is theoretical, not measured: it uses a DFT-relaxed cell (PBE, Alexandria) and Cu Kα (weighted mean of Kα1 and Kα2).

Crystal structure
```
data_ZrZnGaHg
_symmetry_space_group_name_H-M 'P m m m'
_symmetry_Int_Tables_number 47
_cell_length_a 4.058
_cell_length_b 4.179
_cell_length_c 4.393
_cell_angle_alpha 90.00
_cell_angle_beta 90.00
_cell_angle_gamma 90.00
loop_
_symmetry_equiv_pos_as_xyz
'x,y,z'
'-x,-y,-z'
'-x,-y,z'
'x,y,-z'
'x,-y,-z'
'-x,y,z'
'-x,y,-z'
'x,-y,z'
loop_
_atom_site_label
_atom_site_fract_x
_atom_site_fract_y
_atom_site_fract_z
Zr1 0.000 0.000 0.000
Zn1 0.500 0.000 0.500
Ga1 0.500 0.500 0.000
Hg1 0.000 0.500 0.500
```

Main lines, low angle first (10 to 90 degrees two-theta):
2theta	d [Å]	intensity	index
37.04	2.427	100	1 1 1
41.10	2.196	19	0 0 2
43.30	2.090	16	0 2 0
44.66	2.029	15	2 0 0
61.22	1.514	11	0 2 2
62.29	1.490	11	2 0 2
72.22	1.308	14	1 1 3
75.30	1.262	12	1 3 1
77.24	1.235	11	3 1 1
78.89	1.213	11	2 2 2

5.
Diffraction record for Ho5Ga4. The XRD peak list is theoretical, not measured: it uses a DFT-relaxed cell (PBE, Alexandria) and Cu Kα (weighted mean of Kα1 and Kα2).

Crystal structure
```
data_Ho5Ga4
_symmetry_space_group_name_H-M 'C 1 2/m 1'
_symmetry_Int_Tables_number 12
_cell_length_a 10.839
_cell_length_b 4.417
_cell_length_c 9.962
_cell_angle_alpha 90.00
_cell_angle_beta 112.83
_cell_angle_gamma 90.00
loop_
_symmetry_equiv_pos_as_xyz
'x,y,z'
'-x,-y,-z'
'-x,y,-z'
'x,-y,z'
'x+1/2,y+1/2,z'
'-x+1/2,-y+1/2,-z'
'-x+1/2,y+1/2,-z'
'x+1/2,-y+1/2,z'
loop_
_atom_site_label
_atom_site_fract_x
_atom_site_fract_y
_atom_site_fract_z
Ho1 0.000 0.000 0.000
Ho2 0.102 0.000 0.391
Ho3 0.244 0.000 0.825
Ga1 0.050 0.500 0.834
Ga2 0.118 0.500 0.610
```

Main lines, low angle first (10 to 90 degrees two-theta):
2theta	d [Å]	intensity	index
27.65	3.226	38	2 0 -3
31.16	2.870	29	2 0 2
31.72	2.821	100	1 1 2
32.01	2.796	100	3 1 -1
33.32	2.689	39	4 0 -1
33.86	2.648	64	1 1 -3
37.30	2.411	40	3 1 -3
38.04	2.366	31	3 1 1
40.86	2.208	52	0 2 0
63.91	1.457	23	7 1 -2

6.
Diffraction record for Ho2Ga3. The XRD peak list is theoretical, not measured: it uses a DFT-relaxed cell (PBE, Alexandria) and Cu Kα (weighted mean of Kα1 and Kα2).

Crystal structure
```
data_Ho2Ga3
_symmetry_space_group_name_H-M 'C m c m'
_symmetry_Int_Tables_number 63
_symmetry_space_group_name_Hall '-C 2c 2'
_cell_length_a 4.147
_cell_length_b 25.538
_cell_length_c 4.156
_cell_angle_alpha 90.00
_cell_angle_beta 90.00
_cell_angle_gamma 90.00
loop_
_atom_site_label
_atom_site_fract_x
_atom_site_fract_y
_atom_site_fract_z
Ho1 0.000 0.073 0.250
Ho2 0.000 0.204 0.750
Ga1 0.000 0.324 0.750
Ga2 0.000 0.381 0.250
Ga3 0.000 0.476 0.250
```

Main lines, low angle first (10 to 90 degrees two-theta):
2theta	d [Å]	intensity	index
25.57	3.483	22	0 4 1
27.95	3.192	12	0 8 0
32.26	2.775	100	1 3 1
32.69	2.739	55	1 7 0
35.26	2.545	15	1 5 1
41.50	2.176	33	0 10 1
43.60	2.076	48	2 0 0
55.50	1.656	24	1 7 2
61.80	1.501	20	2 10 1
63.36	1.468	16	2 0 2

7.
Diffraction record for HoGa4. The XRD peak list is theoretical, not measured: it uses a DFT-relaxed cell (PBE, Alexandria) and Cu Kα (weighted mean of Kα1 and Kα2).

Crystal structure
```
data_HoGa4
_symmetry_space_group_name_H-M 'I m m a'
_symmetry_Int_Tables_number 74
_symmetry_space_group_name_Hall '-I 2b 2'
_cell_length_a 4.285
_cell_length_b 6.339
_cell_length_c 14.036
_cell_angle_alpha 90.00
_cell_angle_beta 90.00
_cell_angle_gamma 90.00
loop_
_atom_site_label
_atom_site_fract_x
_atom_site_fract_y
_atom_site_fract_z
Ho1 0.000 0.250 0.114
Ga1 0.000 0.000 0.500
Ga2 0.000 0.034 0.696
Ga3 0.000 0.250 0.897
```

Main lines, low angle first (10 to 90 degrees two-theta):
2theta	d [Å]	intensity	index
28.18	3.167	21	1 1 2
35.82	2.507	73	1 2 1
38.31	2.350	100	1 0 5
40.30	2.238	14	1 2 3
42.18	2.142	27	2 0 0
48.36	1.882	11	0 2 6
58.24	1.584	28	0 4 0
70.84	1.330	11	1 2 9
71.87	1.314	16	1 4 5
74.51	1.273	17	3 0 5